The following is a theoretical X-ray diffraction stick pattern of TbPr2NdY. It was derived from a DFT-relaxed cell (PBE, Alexandria), using CuKα.
Lines closer than 0.1° are merged.

Structure:
```
10
Lattice="8.220 0.000 0.000 0.000 6.879 0.000 -0.011 0.000 6.273" Properties=species:S:1:pos:R:3 pbc="T T T"
Tb -0.003 1.080 1.568
Tb -0.008 5.799 4.705
Pr 1.605 2.115 4.710
Pr 1.611 4.764 1.573
Pr 6.598 2.115 4.700
Pr 6.604 4.764 1.563
Nd 4.110 0.000 0.000
Nd 4.104 0.000 3.137
Y 4.107 2.862 1.568
Y 4.102 4.018 4.705
```

Principal peaks in the range 2θ from 10° to 90°, in order of rising 2θ:
2θ 25.24, rel. 26
2θ 28.12, rel. 38
2θ 28.46, rel. 27
2θ 29.04, rel. 100
2θ 30.50, rel. 28
2θ 31.60, rel. 44
2θ 33.23, rel. 36
2θ 38.15, rel. 31
2θ 45.91, rel. 30
2θ 54.35, rel. 29